[1]
Structure and simulated powder diffractogram of Li3ZnCu6 (the PBE geometry in Alexandria; Cu Kα X-rays).
No peak broadening, texture or thermal motion is included.

Peak list (10 most intense, 10 to 90 degrees two-theta, sorted by position)
- 4.145 Å, I 55.2
- 3.743 Å, I 54.5
- 3.490 Å, I 46.0
- 3.354 Å, I 20.3
- 2.251 Å, I 22.9
- 2.104 Å, I 94.6
- 2.072 Å, I 55.8
- 2.067 Å, I 28.7
- 2.005 Å, I 100.0
- 1.907 Å, I 32.8

Structure:
Unit cell a=7.6392 b=8.5877 c=4.1447 alpha=90.00 beta=90.00 gamma=90.00
Sites, in units of the cell vectors:
1 Li 0.0000 0.0000 0.0000
2 Li 0.1589 0.3102 0.0000
3 Li 0.3411 0.8102 0.0000
4 Li 0.5000 0.5000 0.0000
5 Li 0.6589 0.1898 0.0000
6 Li 0.8411 0.6898 0.0000
7 Zn 0.0000 0.5000 0.5000
8 Zn 0.5000 0.0000 0.5000
9 Cu 0.1039 0.7799 0.5000
10 Cu 0.1436 0.5981 0.0000
11 Cu 0.1715 0.0647 0.5000
12 Cu 0.3285 0.5647 0.5000
13 Cu 0.3564 0.0981 0.0000
14 Cu 0.3961 0.2799 0.5000
15 Cu 0.6039 0.7201 0.5000
16 Cu 0.6436 0.9019 0.0000
17 Cu 0.6715 0.4353 0.5000
18 Cu 0.8285 0.9353 0.5000
19 Cu 0.8564 0.4019 0.0000
20 Cu 0.8961 0.2201 0.5000

[2]
Structure and simulated powder diffractogram of TmB2C (the PBE geometry in Alexandria; Cu Kα X-rays).
No peak broadening, texture or thermal motion is included.

Peak list (10 most intense, 10 to 90 degrees two-theta, sorted by position)
- 3.643 Å, I 62.1
- 3.379 Å, I 74.6
- 3.022 Å, I 81.0
- 2.477 Å, I 81.9
- 2.326 Å, I 100.0
- 1.998 Å, I 24.6
- 1.639 Å, I 37.6
- 1.560 Å, I 23.9
- 1.495 Å, I 44.0
- 1.218 Å, I 28.3

Structure:
Unit cell a=6.7577 b=6.7577 c=7.2864 alpha=90.00 beta=90.00 gamma=90.00
Sites, in units of the cell vectors:
1 Tm 0.1911 0.3089 0.2500
2 Tm 0.1911 0.3089 0.7500
3 Tm 0.3089 0.8089 0.2500
4 Tm 0.3089 0.8089 0.7500
5 Tm 0.6911 0.1911 0.2500
6 Tm 0.6911 0.1911 0.7500
7 Tm 0.8089 0.6911 0.2500
8 Tm 0.8089 0.6911 0.7500
9 B 0.0344 0.8473 0.0000
10 B 0.0937 0.5968 0.0000
11 B 0.0968 0.5937 0.5000
12 B 0.1527 0.0344 0.5000
13 B 0.3473 0.5344 0.5000
14 B 0.4032 0.0937 0.5000
15 B 0.4063 0.0968 0.0000
16 B 0.4656 0.3473 0.0000
17 B 0.5344 0.6527 0.0000
18 B 0.5937 0.9032 0.0000
19 B 0.5968 0.9063 0.5000
20 B 0.6527 0.4656 0.5000
21 B 0.8473 0.9656 0.5000
22 B 0.9032 0.4063 0.5000
23 B 0.9063 0.4032 0.0000
24 B 0.9656 0.1527 0.0000
25 C 0.0402 0.8223 0.5000
26 C 0.1777 0.0402 0.0000
27 C 0.3223 0.5402 0.0000
28 C 0.4598 0.3223 0.5000
29 C 0.5402 0.6777 0.5000
30 C 0.6777 0.4598 0.0000
31 C 0.8223 0.9598 0.0000
32 C 0.9598 0.1777 0.5000

[3]
Structure and simulated powder diffractogram of LaNd12Dy3 (the PBE geometry in Alexandria; Cu Kα X-rays).
No peak broadening, texture or thermal motion is included.

Peak list (8 most intense, 10 to 90 degrees two-theta, sorted by position)
- 2.988 Å, I 100.0
- 2.588 Å, I 50.7
- 1.830 Å, I 36.2
- 1.561 Å, I 43.1
- 1.494 Å, I 12.4
- 1.294 Å, I 5.7
- 1.187 Å, I 17.4
- 1.157 Å, I 16.2

Structure:
Unit cell a=5.1763 b=5.1763 c=20.7009 alpha=90.00 beta=90.00 gamma=90.00
Sites, in units of the cell vectors:
1 La 0.0000 0.0000 0.0000
2 Nd 0.0000 0.5000 0.1278
3 Nd 0.0000 0.5000 0.3759
4 Nd 0.0000 0.5000 0.6241
5 Nd 0.0000 0.5000 0.8722
6 Nd 0.5000 0.0000 0.1278
7 Nd 0.5000 0.0000 0.3759
8 Nd 0.5000 0.0000 0.6241
9 Nd 0.5000 0.0000 0.8722
10 Nd 0.5000 0.5000 0.0000
11 Nd 0.5000 0.5000 0.2528
12 Nd 0.5000 0.5000 0.5000
13 Nd 0.5000 0.5000 0.7472
14 Dy 0.0000 0.0000 0.2516
15 Dy 0.0000 0.0000 0.5000
16 Dy 0.0000 0.0000 0.7484

[4]
Structure and simulated powder diffractogram of LuCu4Ru (the PBE geometry in Alexandria; Cu Kα X-rays).
No peak broadening, texture or thermal motion is included.

Peak list (10 most intense, 10 to 90 degrees two-theta, sorted by position)
- 4.026 Å, I 8.8
- 3.487 Å, I 4.5
- 2.466 Å, I 53.6
- 2.103 Å, I 100.0
- 2.013 Å, I 20.7
- 1.600 Å, I 2.6
- 1.424 Å, I 19.2
- 1.342 Å, I 29.9
- 1.233 Å, I 22.1
- 1.103 Å, I 8.7

Structure:
Unit cell a=4.9313 b=4.9313 c=4.9313 alpha=60.00 beta=60.00 gamma=60.00
Sites, in units of the cell vectors:
1 Lu 0.0000 0.0000 0.0000
2 Cu 0.3759 0.3759 0.3759
3 Cu 0.3759 0.3759 0.8724
4 Cu 0.3759 0.8724 0.3759
5 Cu 0.8724 0.3759 0.3759
6 Ru 0.7500 0.7500 0.7500

[5]
Structure and simulated powder diffractogram of Sc4O (the PBE geometry in Alexandria; Cu Kα X-rays).
No peak broadening, texture or thermal motion is included.

Peak list (10 most intense, 10 to 90 degrees two-theta, sorted by position)
- 2.821 Å, I 21.5
- 2.622 Å, I 33.8
- 2.513 Å, I 61.1
- 2.484 Å, I 100.0
- 1.920 Å, I 24.5
- 1.645 Å, I 19.8
- 1.621 Å, I 10.1
- 1.486 Å, I 16.1
- 1.393 Å, I 14.9
- 1.362 Å, I 14.8

Structure:
Unit cell a=6.5799 b=6.5799 c=5.2432 alpha=90.00 beta=90.00 gamma=120.97
Sites, in units of the cell vectors:
1 Sc 0.1652 0.8348 0.7701
2 Sc 0.1770 0.3230 0.7500
3 Sc 0.3230 0.1770 0.2500
4 Sc 0.3348 0.6652 0.2701
5 Sc 0.6652 0.3348 0.7299
6 Sc 0.6770 0.8230 0.7500
7 Sc 0.8230 0.6770 0.2500
8 Sc 0.8348 0.1652 0.2299
9 O 0.0000 0.0000 0.0000
10 O 0.5000 0.5000 0.5000

[6]
Structure and simulated powder diffractogram of Ho4SeO5 (the PBE geometry in Alexandria; Cu Kα X-rays).
No peak broadening, texture or thermal motion is included.

Peak list (10 most intense, 10 to 90 degrees two-theta, sorted by position)
- 3.537 Å, I 100.0
- 2.981 Å, I 77.1
- 2.834 Å, I 13.3
- 2.792 Å, I 59.0
- 2.500 Å, I 14.1
- 2.284 Å, I 18.5
- 1.975 Å, I 51.5
- 1.813 Å, I 29.8
- 1.763 Å, I 14.0
- 1.577 Å, I 18.8

Structure:
Unit cell a=7.0489 b=9.1370 c=5.5895 alpha=90.00 beta=90.00 gamma=90.00
Sites, in units of the cell vectors:
1 Ho 0.0102 0.2500 0.0346
2 Ho 0.2500 0.0285 0.5377
3 Ho 0.2500 0.4715 0.5377
4 Ho 0.4898 0.2500 0.0346
5 Ho 0.5102 0.7500 0.9654
6 Ho 0.7500 0.5285 0.4623
7 Ho 0.7500 0.9715 0.4623
8 Ho 0.9898 0.7500 0.9654
9 Se 0.2500 0.7500 0.3149
10 Se 0.7500 0.2500 0.6851
11 O 0.0077 0.0725 0.2751
12 O 0.0077 0.4275 0.2751
13 O 0.2500 0.2500 0.7824
14 O 0.4923 0.0725 0.2751
15 O 0.4923 0.4275 0.2751
16 O 0.5077 0.5725 0.7249
17 O 0.5077 0.9275 0.7249
18 O 0.7500 0.7500 0.2176
19 O 0.9923 0.5725 0.7249
20 O 0.9923 0.9275 0.7249

[7]
Structure and simulated powder diffractogram of Si3Ru4 (the PBE geometry in Alexandria; Cu Kα X-rays).
No peak broadening, texture or thermal motion is included.

Peak list (10 most intense, 10 to 90 degrees two-theta, sorted by position)
- 2.996 Å, I 31.8
- 2.794 Å, I 55.2
- 2.241 Å, I 19.1
- 2.129 Å, I 73.8
- 2.106 Å, I 100.0
- 2.089 Å, I 36.5
- 2.052 Å, I 35.0
- 2.014 Å, I 54.5
- 1.450 Å, I 22.1
- 1.287 Å, I 20.8

Structure:
Unit cell a=5.2398 b=4.0290 c=17.2975 alpha=90.00 beta=90.00 gamma=90.00
Sites, in units of the cell vectors:
1 Si 0.0016 0.2500 0.1034
2 Si 0.1181 0.7500 0.3083
3 Si 0.1480 0.2500 0.5337
4 Si 0.3520 0.7500 0.0337
5 Si 0.3819 0.2500 0.8083
6 Si 0.4984 0.7500 0.6034
7 Si 0.5016 0.2500 0.3966
8 Si 0.6181 0.7500 0.1917
9 Si 0.6480 0.2500 0.9663
10 Si 0.8520 0.7500 0.4663
11 Si 0.8819 0.2500 0.6917
12 Si 0.9984 0.7500 0.8966
13 Ru 0.0098 0.2500 0.3928
14 Ru 0.1544 0.7500 0.7646
15 Ru 0.1586 0.7500 0.1633
16 Ru 0.1739 0.2500 0.9714
17 Ru 0.3261 0.7500 0.4714
18 Ru 0.3414 0.2500 0.6633
19 Ru 0.3456 0.2500 0.2646
20 Ru 0.4902 0.7500 0.8928
21 Ru 0.5098 0.2500 0.1072
22 Ru 0.6544 0.7500 0.7354
23 Ru 0.6586 0.7500 0.3367
24 Ru 0.6739 0.2500 0.5286
25 Ru 0.8261 0.7500 0.0286
26 Ru 0.8414 0.2500 0.8367
27 Ru 0.8456 0.2500 0.2354
28 Ru 0.9902 0.7500 0.6072

[8]
Structure and simulated powder diffractogram of Sm4Er8Sc (the PBE geometry in Alexandria; Cu Kα X-rays).
No peak broadening, texture or thermal motion is included.

Peak list (10 most intense, 10 to 90 degrees two-theta, sorted by position)
- 4.437 Å, I 18.5
- 3.843 Å, I 14.4
- 2.717 Å, I 100.0
- 2.317 Å, I 10.3
- 1.921 Å, I 18.1
- 1.718 Å, I 5.8
- 1.569 Å, I 28.0
- 1.568 Å, I 9.3
- 1.359 Å, I 5.7
- 1.215 Å, I 15.7

Structure:
Unit cell a=7.6853 b=7.6853 c=7.6853 alpha=89.93 beta=89.93 gamma=89.93
Sites, in units of the cell vectors:
1 Sm 0.0000 0.0000 0.0000
2 Sm 0.0000 0.5000 0.5000
3 Sm 0.5000 0.0000 0.5000
4 Sm 0.5000 0.5000 0.0000
5 Er 0.2425 0.7571 0.7571
6 Er 0.2425 0.2425 0.2425
7 Er 0.2429 0.2429 0.7575
8 Er 0.2429 0.7575 0.2429
9 Er 0.7571 0.2425 0.7571
10 Er 0.7571 0.7571 0.2425
11 Er 0.7575 0.7575 0.7575
12 Er 0.7575 0.2429 0.2429
13 Sc 0.5000 0.5000 0.5000